No. 1
Structure and calculated XRD peak list of DyFeMo (the GGA-PBE geometry in Alexandria; Cu Kα X-rays).
Intensities are scaled so that the largest is 100.

Cell and atoms:
```
data_DyFeMo
_chemical_formula_sum 'Dy4 Fe4 Mo4'
_cell_length_a 6.476
_cell_length_b 6.476
_cell_length_c 5.914
_cell_angle_alpha 90.00
_cell_angle_beta 90.00
_cell_angle_gamma 90.00
_space_group_name_H-M_alt 'P 41 21 2'
_space_group_IT_number 92
_space_group_name_Hall 'P 4abw 2nw'
loop_
_atom_site_label
_atom_site_fract_x
_atom_site_fract_y
_atom_site_fract_z
Dy1 0.249 0.249 0.000
Fe1 0.052 0.948 0.750
Mo1 0.193 0.193 0.500
```

Largest 6 diffraction maxima, in order of rising 2θ, 10° ≤ 2θ ≤ 90°:
- d = 4.579 Å, I = 17, (1 1 0)
- d = 3.238 Å, I = 56, (2 0 0)
- d = 2.601 Å, I = 26, (2 1 1)
- d = 2.484 Å, I = 100, (1 1 2)
- d = 2.289 Å, I = 40, (2 2 0)
- d = 1.684 Å, I = 35, (3 1 2)

***

No. 2
Structure and calculated XRD peak list of Dy2Fe17N3 (the GGA-PBE geometry in Alexandria; Cu Kα X-rays).
Intensities are scaled so that the largest is 100.

Cell and atoms:
```
data_Dy2Fe17N3
_chemical_formula_sum 'Dy4 Fe34 N6'
_cell_length_a 8.6391
_cell_length_b 8.6391
_cell_length_c 8.3769
_cell_angle_alpha 90.00
_cell_angle_beta 90.00
_cell_angle_gamma 120.00
_space_group_name_H-M_alt 'P 63/m m c'
_space_group_IT_number 194
_space_group_name_Hall '-P 6c 2c'
loop_
_atom_site_label
_atom_site_fract_x
_atom_site_fract_y
_atom_site_fract_z
Dy1 0.0000 0.0000 0.2500
Dy2 0.3333 0.6667 0.2500
Fe1 0.0000 0.5000 0.0000
Fe2 0.0528 0.3810 0.7500
Fe3 0.1693 0.3386 0.0203
Fe4 0.3333 0.6667 0.6078
N1 0.1638 0.3276 0.2500
```

Largest 6 diffraction maxima, in order of rising 2θ, 10° ≤ 2θ ≤ 90°:
- d = 3.007 Å, I = 45, (1 1 2)
- d = 2.494 Å, I = 39, (3 0 0)
- d = 2.238 Å, I = 37, (2 0 3)
- d = 2.160 Å, I = 77, (2 2 0)
- d = 2.143 Å, I = 100, (3 0 2)
- d = 2.094 Å, I = 36, (0 0 4)

***

No. 3
Structure and calculated XRD peak list of DyNb2Fe9 (the GGA-PBE geometry in Alexandria; Cu Kα X-rays).
Intensities are scaled so that the largest is 100.

Cell and atoms:
```
data_DyNb2Fe9
_chemical_formula_sum 'Dy3 Nb6 Fe27'
_cell_length_a 4.9122
_cell_length_b 4.9122
_cell_length_c 23.5774
_cell_angle_alpha 90.00
_cell_angle_beta 90.00
_cell_angle_gamma 120.00
_space_group_name_H-M_alt 'R -3 m'
_space_group_IT_number 166
_space_group_name_Hall '-R 3 2"'
loop_
_atom_site_label
_atom_site_fract_x
_atom_site_fract_y
_atom_site_fract_z
Dy1 0.0000 0.0000 0.0000
Nb1 0.0000 0.0000 0.1437
Fe1 0.0000 0.0000 0.3333
Fe2 0.0000 0.0000 0.5000
Fe3 0.0033 0.5017 0.9137
```

Largest 6 diffraction maxima, in order of rising 2θ, 10° ≤ 2θ ≤ 90°:
- d = 2.641 Å, I = 32, (1 0 7)
- d = 2.456 Å, I = 41, (1 1 0)
- d = 2.423 Å, I = 24, (0 1 8)
- d = 2.118 Å, I = 34, (0 2 1)
- d = 2.083 Å, I = 100, (1 1 6)
- d = 1.334 Å, I = 22, (0 3 6)

***

No. 4
Structure and calculated XRD peak list of Nd2DyFe9 (the GGA-PBE geometry in Alexandria; Cu Kα X-rays).
Intensities are scaled so that the largest is 100.

Cell and atoms:
```
data_Nd2DyFe9
_chemical_formula_sum 'Nd6 Dy3 Fe27'
_cell_length_a 5.1498
_cell_length_b 5.1498
_cell_length_c 24.8091
_cell_angle_alpha 90.00
_cell_angle_beta 90.00
_cell_angle_gamma 120.00
_space_group_name_H-M_alt 'R -3 m'
_space_group_IT_number 166
_space_group_name_Hall '-R 3 2"'
loop_
_atom_site_label
_atom_site_fract_x
_atom_site_fract_y
_atom_site_fract_z
Nd1 0.0000 0.0000 0.1412
Dy1 0.0000 0.0000 0.0000
Fe1 0.0000 0.0000 0.3328
Fe2 0.0000 0.0000 0.5000
Fe3 0.0035 0.5017 0.0792
```

Largest 6 diffraction maxima, in order of rising 2θ, 10° ≤ 2θ ≤ 90°:
- d = 2.775 Å, I = 51, (1 0 7)
- d = 2.575 Å, I = 54, (1 1 0)
- d = 2.546 Å, I = 38, (0 1 8)
- d = 2.221 Å, I = 39, (0 2 1)
- d = 2.186 Å, I = 100, (1 1 6)
- d = 1.399 Å, I = 23, (0 3 6)

***

No. 5
Structure and calculated XRD peak list of DyFeNi6 (the GGA-PBE geometry in Alexandria; Cu Kα X-rays).
Intensities are scaled so that the largest is 100.

Cell and atoms:
```
data_DyFeNi6
_chemical_formula_sum 'Dy1 Fe1 Ni6'
_cell_length_a 3.787
_cell_length_b 3.787
_cell_length_c 7.877
_cell_angle_alpha 90.00
_cell_angle_beta 90.00
_cell_angle_gamma 90.00
_space_group_name_H-M_alt 'P 4/m m m'
_space_group_IT_number 123
_space_group_name_Hall '-P 4 2'
loop_
_atom_site_label
_atom_site_fract_x
_atom_site_fract_y
_atom_site_fract_z
Dy1 0.000 0.000 0.000
Fe1 0.000 0.000 0.500
Ni1 0.000 0.500 0.325
Ni2 0.500 0.500 0.144
```

Largest 6 diffraction maxima, in order of rising 2θ, 10° ≤ 2θ ≤ 90°:
- d = 2.730 Å, I = 85, (1 0 2)
- d = 2.535 Å, I = 100, (1 1 1)
- d = 2.214 Å, I = 87, (1 1 2)
- d = 2.158 Å, I = 33, (1 0 3)
- d = 1.894 Å, I = 84, (2 0 0)
- d = 1.747 Å, I = 39, (1 0 4)

***

No. 6
Structure and calculated XRD peak list of DyFe2Ni5 (the GGA-PBE geometry in Alexandria; Cu Kα X-rays).
Intensities are scaled so that the largest is 100.

Cell and atoms:
```
data_DyFe2Ni5
_chemical_formula_sum 'Dy2 Fe4 Ni10'
_cell_length_a 3.659
_cell_length_b 6.620
_cell_length_c 9.109
_cell_angle_alpha 90.00
_cell_angle_beta 90.00
_cell_angle_gamma 90.00
_space_group_name_H-M_alt 'I m m m'
_space_group_IT_number 71
_space_group_name_Hall '-I 2 2'
loop_
_atom_site_label
_atom_site_fract_x
_atom_site_fract_y
_atom_site_fract_z
Dy1 0.000 0.000 0.000
Fe1 0.000 0.500 0.250
Ni1 0.000 0.187 0.358
Ni2 0.000 0.500 0.000
```

Largest 6 diffraction maxima, in order of rising 2θ, 10° ≤ 2θ ≤ 90°:
- d = 2.620 Å, I = 42, (1 1 2)
- d = 2.370 Å, I = 100, (1 2 1)
- d = 2.336 Å, I = 87, (1 0 3)
- d = 1.876 Å, I = 54, (0 2 4)
- d = 1.829 Å, I = 35, (2 0 0)
- d = 1.310 Å, I = 31, (2 2 4)

***

No. 7
Structure and calculated XRD peak list of Dy2NpFe2 (the GGA-PBE geometry in Alexandria; Cu Kα X-rays).
Intensities are scaled so that the largest is 100.

Cell and atoms:
```
data_Dy2NpFe2
_chemical_formula_sum 'Dy8 Np4 Fe8'
_cell_length_a 9.667
_cell_length_b 5.775
_cell_length_c 7.432
_cell_angle_alpha 90.00
_cell_angle_beta 99.72
_cell_angle_gamma 90.00
_space_group_name_H-M_alt 'C 1 2/c 1'
_space_group_IT_number 15
_space_group_name_Hall '-C 2yc'
loop_
_atom_site_label
_atom_site_fract_x
_atom_site_fract_y
_atom_site_fract_z
Dy1 0.152 0.112 0.151
Np1 0.000 0.388 0.750
Fe1 0.117 0.386 0.513
```

Largest 6 diffraction maxima, in order of rising 2θ, 10° ≤ 2θ ≤ 90°:
- d = 2.783 Å, I = 38, (3 1 0)
- d = 2.688 Å, I = 100, (0 2 1)
- d = 2.482 Å, I = 25, (3 1 1)
- d = 2.393 Å, I = 25, (3 1 -2)
- d = 2.280 Å, I = 32, (2 2 1)
- d = 2.269 Å, I = 25, (1 1 -3)

***

No. 8
Structure and calculated XRD peak list of DyNpFe (the GGA-PBE geometry in Alexandria; Cu Kα X-rays).
Intensities are scaled so that the largest is 100.

Cell and atoms:
```
data_DyNpFe
_chemical_formula_sum 'Dy4 Np4 Fe4'
_cell_length_a 9.939
_cell_length_b 4.770
_cell_length_c 6.759
_cell_angle_alpha 90.00
_cell_angle_beta 130.41
_cell_angle_gamma 90.00
_space_group_name_H-M_alt 'C 1 2/m 1'
_space_group_IT_number 12
_space_group_name_Hall '-C 2y'
loop_
_atom_site_label
_atom_site_fract_x
_atom_site_fract_y
_atom_site_fract_z
Dy1 0.089 0.000 0.360
Np1 0.126 0.500 0.007
Fe1 0.152 0.500 0.719
```

Largest 6 diffraction maxima, in order of rising 2θ, 10° ≤ 2θ ≤ 90°:
- d = 3.896 Å, I = 36, (1 1 -1)
- d = 2.748 Å, I = 100, (1 1 1)
- d = 2.682 Å, I = 68, (3 1 -1)
- d = 2.618 Å, I = 53, (1 1 -2)
- d = 2.385 Å, I = 57, (0 2 0)
- d = 1.715 Å, I = 37, (0 0 3)

***

No. 9
Structure and calculated XRD peak list of DyNpFe4 (the GGA-PBE geometry in Alexandria; Cu Kα X-rays).
Intensities are scaled so that the largest is 100.

Cell and atoms:
```
data_DyNpFe4
_chemical_formula_sum 'Dy2 Np2 Fe8'
_cell_length_a 4.9086
_cell_length_b 4.9086
_cell_length_c 8.5537
_cell_angle_alpha 90.00
_cell_angle_beta 90.00
_cell_angle_gamma 120.00
_space_group_name_H-M_alt 'P -3 m 1'
_space_group_IT_number 164
_space_group_name_Hall '-P 3 2"'
loop_
_atom_site_label
_atom_site_fract_x
_atom_site_fract_y
_atom_site_fract_z
Dy1 0.3333 0.6667 0.4284
Np1 0.3333 0.6667 0.0443
Fe1 0.0000 0.0000 0.0000
Fe2 0.0000 0.0000 0.5000
Fe3 0.1662 0.3324 0.7492
```

Largest 6 diffraction maxima, in order of rising 2θ, 10° ≤ 2θ ≤ 90°:
- d = 2.454 Å, I = 59, (1 1 0)
- d = 2.368 Å, I = 80, (1 0 3)
- d = 2.128 Å, I = 100, (1 1 2)
- d = 2.063 Å, I = 34, (0 2 1)
- d = 1.400 Å, I = 32, (2 1 3)
- d = 1.333 Å, I = 23, (0 2 5)